[1]
For Li6Bi5O14, a PBE-relaxed structure gives the calculated X-ray diffraction stick pattern in this record (Cu Kα, 1.54184 Å).
Kinematic intensities with the Lorentz-polarization factor, no thermal factor.

Most intense lines, 10 to 90 degrees two-theta, in order of rising 2θ:
(hkl)  two_theta  I/Imax
0 0 2  16.52  100
1 3 1  24.78  29
3 1 0  25.44  32
1 3 2  28.72  13
3 1 2  30.48  54
0 0 4  33.39  13
2 4 1  34.68  15
0 4 3  38.78  15
2 4 3  42.29  14
3 1 4  42.44  18
3 1 6  57.87  11
3 7 1  59.39  11

Unit cell a=10.966 b=12.197 c=10.734 alpha=90.00 beta=90.00 gamma=90.00
Space group Cmc2_1 (No. 36)
Asymmetric unit:
Li 0.000 0.004 0.000 [4 per cell]
Li 0.000 0.276 0.536 [4 per cell]
Li 0.146 0.341 0.947 [8 per cell]
Li 0.225 0.420 0.479 [8 per cell]
Bi 0.000 0.465 0.719 [4 per cell]
Bi 0.153 0.089 0.721 [8 per cell]
Bi 0.187 0.182 0.224 [8 per cell]
O 0.000 0.064 0.839 [4 per cell]
O 0.000 0.136 0.602 [4 per cell]
O 0.000 0.213 0.289 [4 per cell]
O 0.000 0.404 0.898 [4 per cell]
O 0.133 0.355 0.626 [8 per cell]
O 0.139 0.051 0.096 [8 per cell]
O 0.201 0.338 0.118 [8 per cell]
O 0.219 0.210 0.857 [8 per cell]
O 0.242 0.034 0.335 [8 per cell]

***

[2]
For LiBi4O7, a PBE-relaxed structure gives the calculated X-ray diffraction stick pattern in this record (Cu Kα, 1.54184 Å).
Kinematic intensities with the Lorentz-polarization factor, no thermal factor.

Most intense lines, 10 to 90 degrees two-theta, in order of rising 2θ:
(hkl)  two_theta  I/Imax
1 -1 0  18.08  18
0 0 2  25.28  20
2 0 0  27.27  23
1 2 2  28.48  100
1 2 0  30.14  26
2 0 2  30.41  36
-1 1 2  30.92  38
2 1 0  31.05  29
0 1 -2  32.71  30
3 -1 0  42.66  24
1 1 4  45.14  19
2 1 -2  49.18  22

Unit cell a=6.963 b=7.474 c=8.110 alpha=67.30 beta=70.29 gamma=85.84
Space group P-1 (No. 2)
Asymmetric unit:
Li 0.000 0.000 0.000 [1 per cell]
Li 0.000 0.000 0.500 [1 per cell]
Bi 0.199 0.629 0.273 [2 per cell]
Bi 0.211 0.646 0.784 [2 per cell]
Bi 0.321 0.172 0.611 [2 per cell]
Bi 0.376 0.133 0.148 [2 per cell]
O 0.027 0.893 0.282 [2 per cell]
O 0.135 0.373 0.050 [2 per cell]
O 0.180 0.512 0.577 [2 per cell]
O 0.266 0.859 0.901 [2 per cell]
O 0.289 0.941 0.504 [2 per cell]
O 0.447 0.359 0.279 [2 per cell]
O 0.483 0.815 0.167 [2 per cell]

***

[3]
For Li2BiO4, a PBE-relaxed structure gives the calculated X-ray diffraction stick pattern in this record (Cu Kα, 1.54184 Å).
Kinematic intensities with the Lorentz-polarization factor, no thermal factor.

Most intense lines, 10 to 90 degrees two-theta, in order of rising 2θ:
(hkl)  two_theta  I/Imax
0 0 2  19.18  46
1 1 0  21.37  100
0 2 0  28.17  15
1 1 2  28.87  96
0 2 2  34.31  29
2 0 2  38.00  25
2 2 0  43.52  22
1 1 4  44.83  30
1 3 0  46.02  14
2 2 2  47.97  28
1 3 2  50.29  21
3 1 2  55.75  18

Unit cell a=5.513 b=6.336 c=9.254 alpha=90.00 beta=90.00 gamma=90.00
Space group Cccm (No. 66)
Asymmetric unit:
Li 0.066 0.167 0.000 [8 per cell]
Bi 0.000 0.500 0.250 [4 per cell]
O 0.212 0.361 0.500 [8 per cell]
O 0.250 0.250 0.166 [8 per cell]